For ZrVPbF2, a DFT-relaxed cell (GGA+U, Alexandria) gives the computed XRD peak list in this record (Cu Kα, 1.54184 Å).
Intensities are scaled so that the largest is 100.

Structural model:
```
ZrVPbF2
1.0
4.0669 0.0000 0.0000
0.0000 4.0669 0.0000
0.0000 0.0000 5.6957
Zr V Pb F
1 1 1 2
Direct
0.0000 0.0000 0.0000
0.0000 0.0000 0.5000
0.5000 0.5000 0.0000
0.0000 0.5000 0.5000
0.5000 0.0000 0.5000
```

Most intense lines, 2θ = 10–90°, by angle:
two_theta, I (rel.)
15.56, 86.7
26.94, 61.2
31.10, 78.2
31.41, 60.8
34.95, 100.0
44.56, 45.5
44.79, 58.4
47.48, 23.5
55.53, 46.4
58.23, 22.7